Starting from a cell relaxed with PBE, the PXRD pattern of Sc5Tl2Cd2Ag was calculated for Cu Kα, 1.54184 Å.
Intensities are scaled so that the largest is 100.

The 8 most intense peaks (10° ≤ 2θ ≤ 90°), sorted by position:
2θ (°)  Rel. int.  index
23.36  66  3 1 0
27.00  24  0 0 1
31.52  61  3 3 0
34.37  22  2 2 1
36.00  100  3 1 1
40.55  24  4 0 1
45.17  36  6 0 0
65.43  46  7 3 1

abc: 12.043 12.043 3.302
angles: 90.00 90.00 90.00
Space group P4/mbm (No. 127)
One atom of each set of equivalent atoms:
Sc  0.000  0.500  0.000 [2 per cell]
Sc  0.002  0.199  0.000 [8 per cell]
Tl  0.163  0.337  0.500 [4 per cell]
Cd  0.157  0.657  0.500 [4 per cell]
Ag  0.000  0.000  0.500 [2 per cell]

***

Starting from a cell relaxed with PBE, the PXRD pattern of KCd2Sn2Au6 was calculated for Cu Kα, 1.54184 Å.
Intensities are scaled so that the largest is 100.

The 8 most intense peaks (10° ≤ 2θ ≤ 90°), sorted by position:
2θ (°)  Rel. int.  index
14.76  100  0 1 0
31.51  46  0 1 2
38.18  55  2 1 -1
38.41  53  2 1 3
39.17  49  0 2 -2
40.34  41  2 -1 1
40.62  38  2 2 -1
40.73  54  2 3 1

abc: 6.637 6.843 7.436
angles: 80.63 63.80 61.49
Space group P-1 (No. 2)
One atom of each set of equivalent atoms:
K  0.000  0.000  0.000 [1 per cell]
Cd  0.166  0.189  0.488 [2 per cell]
Sn  0.410  0.241  0.933 [2 per cell]
Au  0.077  0.522  0.764 [2 per cell]
Au  0.355  0.488  0.234 [2 per cell]
Au  0.383  0.739  0.504 [2 per cell]

***

Starting from a cell relaxed with PBE, the PXRD pattern of La3HfGa5O14 was calculated for Cu Kα, 1.54184 Å.
Intensities are scaled so that the largest is 100.

The 8 most intense peaks (10° ≤ 2θ ≤ 90°), sorted by position:
2θ (°)  Rel. int.  index
24.58  18  2 0 0
27.37  53  1 1 1
30.07  100  0 2 1
32.71  16  2 1 0
34.52  17  0 0 2
37.11  21  1 2 1
48.29  22  1 2 2
58.31  30  3 2 1

abc: 8.3651 8.3651 5.1970
angles: 90.00 90.00 120.00
Space group P321 (No. 150)
One atom of each set of equivalent atoms:
La  0.0000  0.5747  0.0000 [3 per cell]
Hf  0.0000  0.0000  0.0000 [1 per cell]
Ga  0.0000  0.2471  0.5000 [3 per cell]
Ga  0.3333  0.6667  0.5309 [2 per cell]
O  0.0818  0.8542  0.2422 [6 per cell]
O  0.1447  0.4600  0.6994 [6 per cell]
O  0.3333  0.6667  0.1808 [2 per cell]

***

Starting from a cell relaxed with PBE, the PXRD pattern of La2U2O7 was calculated for Cu Kα, 1.54184 Å.
Intensities are scaled so that the largest is 100.

The 8 most intense peaks (10° ≤ 2θ ≤ 90°), sorted by position:
2θ (°)  Rel. int.  index
27.72  100  2 2 2
32.11  37  4 0 0
46.05  49  4 4 0
54.60  47  6 2 2
57.25  11  4 4 4
74.14  19  6 6 2
76.41  15  8 4 0
85.29  16  8 4 4

abc: 11.149 11.149 11.149
angles: 90.00 90.00 90.00
Space group Fd-3m (No. 227, origin choice 2)
One atom of each set of equivalent atoms:
La  0.000  0.000  0.000 [16 per cell]
U  0.000  0.000  0.500 [16 per cell]
O  0.096  0.375  0.875 [48 per cell]
O  0.125  0.125  0.125 [8 per cell]

***

Starting from a cell relaxed with PBE, the PXRD pattern of Pm5Sm2Th was calculated for Cu Kα, 1.54184 Å.
Intensities are scaled so that the largest is 100.

The 8 most intense peaks (10° ≤ 2θ ≤ 90°), sorted by position:
2θ (°)  Rel. int.  index
30.09  100  2 0 1
34.77  17  0 0 2
34.94  34  2 4 0
50.12  24  2 4 2
50.24  12  0 8 0
59.46  15  2 0 3
59.68  29  4 4 1
62.55  12  0 8 2

abc: 7.261 14.534 5.160
angles: 90.00 90.00 90.00
Space group Pbam (No. 55)
One atom of each set of equivalent atoms:
Pm  0.000  0.000  0.000 [2 per cell]
Pm  0.001  0.252  0.000 [4 per cell]
Pm  0.244  0.378  0.500 [4 per cell]
Sm  0.243  0.622  0.500 [4 per cell]
Th  0.000  0.500  0.000 [2 per cell]

***

Starting from a cell relaxed with PBE, the PXRD pattern of Pm2Sm3Dy3 was calculated for Cu Kα, 1.54184 Å.
Intensities are scaled so that the largest is 100.

The 8 most intense peaks (10° ≤ 2θ ≤ 90°), sorted by position:
2θ (°)  Rel. int.  index
28.19  24  0 4 1
30.95  25  2 0 0
32.25  100  1 4 1
42.36  16  2 4 -1
49.94  13  0 4 3
55.88  21  3 4 1
59.86  15  2 8 0
60.62  11  1 8 2

abc: 5.778 14.641 6.321
angles: 90.00 90.07 90.00
Space group P2_1/m (No. 11)
One atom of each set of equivalent atoms:
Pm  0.249  0.125  0.330 [4 per cell]
Sm  0.250  0.250  0.831 [2 per cell]
Sm  0.250  0.624  0.335 [4 per cell]
Dy  0.250  0.000  0.834 [4 per cell]
Dy  0.251  0.750  0.836 [2 per cell]